Record 1
Starting from a DFT-relaxed cell (PBE, Alexandria), the X-ray diffraction stick pattern of Cs2SnCBr6 was computed for Cu Kα, 1.54184 Å.
Lines closer than 0.1° are merged.

Atomic structure:
a = 7.711 Å, b = 7.711 Å, c = 10.894 Å
α = 90.00°, β = 90.00°, γ = 90.00°
Space group I4/mmm (No. 139)
Symmetry-distinct sites (fractional):
Cs  0.000  0.500  0.250
Sn  0.000  0.000  0.000
C  0.000  0.000  0.500
Br  0.000  0.000  0.266
Br  0.233  0.233  0.500

Largest 10 diffraction maxima, in order of rising 2θ, 2θ = 10–80°:
| 2θ (°) | I/Imax | index |
| --- | --- | --- |
| 23.08 | 35.7 | 2 0 0 |
| 28.36 | 97.0 | 2 0 2 |
| 32.86 | 100.0 | 2 2 0 |
| 35.91 | 15.8 | 3 0 1 |
| 40.54 | 14.3 | 2 0 4 |
| 47.16 | 68.9 | 4 0 0 |
| 55.95 | 37.6 | 2 0 6 |
| 58.67 | 23.0 | 4 0 4 |
| 76.12 | 13.8 | 4 2 6 |
| 78.47 | 28.3 | 2 2 8 |

---

Record 2
Starting from a DFT-relaxed cell (PBE, Alexandria), the X-ray diffraction stick pattern of CuH8C2Br3NO was computed for Cu Kα, 1.54184 Å.
Lines closer than 0.1° are merged.

Atomic structure:
a = 6.529 Å, b = 8.409 Å, c = 9.031 Å
α = 69.63°, β = 80.19°, γ = 76.16°
Space group P-1 (No. 2)
Symmetry-distinct sites (fractional):
Cu  0.241  0.436  0.104
H  0.053  0.855  0.209
H  0.120  0.817  0.559
H  0.171  0.042  0.115
H  0.171  0.889  0.766
H  0.174  0.657  0.475
H  0.349  0.981  0.358
H  0.365  0.696  0.552
H  0.424  0.811  0.272
C  0.111  0.958  0.230
C  0.293  0.880  0.333
Br  0.126  0.409  0.867
Br  0.281  0.387  0.381
Br  0.417  0.743  0.945
N  0.231  0.755  0.490
O  0.058  0.944  0.693

Largest 10 diffraction maxima, in order of rising 2θ, 2θ = 10–80°:
| 2θ (°) | I/Imax | index |
| --- | --- | --- |
| 10.50 | 46.1 | 0 0 1 |
| 11.44 | 100.0 | 0 1 0 |
| 12.81 | 36.1 | 0 1 1 |
| 24.55 | 75.8 | 1 2 0 |
| 25.79 | 25.5 | 0 2 2 |
| 26.54 | 20.7 | 1 0 -2 |
| 30.11 | 17.3 | 1 2 -1 |
| 31.01 | 23.8 | 1 1 3 |
| 32.68 | 17.1 | 2 -1 0 |
| 40.43 | 20.4 | -2 2 1 |

---

Record 3
Starting from a DFT-relaxed cell (PBE, Alexandria), the X-ray diffraction stick pattern of Rb2CuCBr6 was computed for Cu Kα, 1.54184 Å.
Lines closer than 0.1° are merged.

Atomic structure:
a = 7.247 Å, b = 7.247 Å, c = 10.171 Å
α = 90.00°, β = 90.00°, γ = 90.00°
Space group I4/mmm (No. 139)
Symmetry-distinct sites (fractional):
Rb  0.000  0.500  0.250
Cu  0.000  0.000  0.000
C  0.000  0.000  0.500
Br  0.000  0.000  0.255
Br  0.245  0.245  0.500

Largest 10 diffraction maxima, in order of rising 2θ, 2θ = 10–80°:
| 2θ (°) | I/Imax | index |
| --- | --- | --- |
| 24.63 | 6.1 | 2 0 0 |
| 30.29 | 100.0 | 2 0 2 |
| 35.02 | 54.7 | 2 2 0 |
| 35.30 | 26.7 | 0 0 4 |
| 50.37 | 18.7 | 4 0 0 |
| 50.58 | 36.9 | 2 2 4 |
| 59.91 | 27.6 | 4 2 2 |
| 60.28 | 13.5 | 2 0 6 |
| 63.00 | 18.7 | 4 0 4 |
| 74.00 | 5.8 | 4 4 0 |

---

Record 4
Starting from a DFT-relaxed cell (PBE, Alexandria), the X-ray diffraction stick pattern of PrDyCBr was computed for Cu Kα, 1.54184 Å.
Lines closer than 0.1° are merged.

Atomic structure:
a = 3.7455 Å, b = 3.7455 Å, c = 22.1253 Å
α = 90.00°, β = 90.00°, γ = 120.00°
Space group R3m (No. 160, hexagonal axes)
Symmetry-distinct sites (fractional):
Pr  0.0000  0.0000  0.0000
Dy  0.0000  0.0000  0.7878
C  0.0000  0.0000  0.4005
Br  0.0000  0.0000  0.2211

Largest 10 diffraction maxima, in order of rising 2θ, 2θ = 10–80°:
| 2θ (°) | I/Imax | index |
| --- | --- | --- |
| 27.80 | 50.1 | 1 0 1 |
| 31.99 | 78.5 | 1 0 4 |
| 34.28 | 100.0 | 0 1 5 |
| 36.55 | 26.8 | 0 0 9 |
| 48.62 | 42.9 | 1 1 0 |
| 49.89 | 21.4 | 1 0 10 |
| 59.39 | 13.6 | 0 2 4 |
| 60.83 | 18.7 | 2 0 5 |
| 62.33 | 34.2 | 1 1 9 |
| 65.73 | 15.2 | 0 1 14 |

---

Record 5
Starting from a DFT-relaxed cell (PBE, Alexandria), the X-ray diffraction stick pattern of La2ErC2Br2 was computed for Cu Kα, 1.54184 Å.
Lines closer than 0.1° are merged.

Atomic structure:
a = 4.558 Å, b = 4.558 Å, c = 15.888 Å
α = 90.00°, β = 90.00°, γ = 90.00°
Space group I4/mmm (No. 139)
Symmetry-distinct sites (fractional):
La  0.000  0.000  0.100
Er  0.000  0.000  0.500
C  0.000  0.500  0.000
Br  0.000  0.000  0.313

Largest 10 diffraction maxima, in order of rising 2θ, 2θ = 10–80°:
| 2θ (°) | I/Imax | index |
| --- | --- | --- |
| 11.14 | 26.1 | 0 0 2 |
| 27.67 | 85.9 | 1 1 0 |
| 34.40 | 100.0 | 1 0 5 |
| 39.54 | 38.0 | 2 0 0 |
| 53.40 | 56.6 | 2 1 5 |
| 57.15 | 12.7 | 2 2 0 |
| 64.66 | 15.7 | 3 1 0 |
| 65.50 | 12.6 | 1 1 10 |
| 68.44 | 13.4 | 3 0 5 |
| 72.52 | 10.5 | 2 0 10 |

---

Record 6
Starting from a DFT-relaxed cell (PBE, Alexandria), the X-ray diffraction stick pattern of LiEu2CBr3N2 was computed for Cu Kα, 1.54184 Å.
Lines closer than 0.1° are merged.

Atomic structure:
a = 14.612 Å, b = 14.612 Å, c = 14.612 Å
α = 90.00°, β = 90.00°, γ = 90.00°
Space group Fd-3m (No. 227, origin choice 2)
Symmetry-distinct sites (fractional):
Li  0.000  0.000  0.000
Eu  0.029  0.029  0.721
C  0.000  0.000  0.500
Br  0.071  0.375  0.375
N  0.049  0.049  0.549

Largest 10 diffraction maxima, in order of rising 2θ, 2θ = 10–80°:
| 2θ (°) | I/Imax | index |
| --- | --- | --- |
| 21.06 | 41.3 | 2 2 2 |
| 29.96 | 23.2 | 4 2 2 |
| 31.82 | 100.0 | 3 3 3 |
| 34.73 | 36.9 | 4 4 0 |
| 47.81 | 27.3 | 7 3 1 |
| 53.19 | 28.3 | 6 6 0 |
| 54.38 | 11.3 | 5 5 5 |
| 57.84 | 11.1 | 8 4 2 |
| 63.33 | 12.0 | 9 3 3 |
| 66.15 | 18.0 | 7 7 3 |